(1)
Computed powder X-ray diffraction pattern
Compound: Pm2CoIrO8
Radiation: Cu Ka
Structure: the PBE+U geometry in Alexandria
No peak broadening, texture or thermal motion is included.

Top 10 peaks for 2θ = 15–90°, by angle:
- 25.67°, rel. 69
- 25.90°, rel. 64
- 27.57°, rel. 52
- 28.78°, rel. 55
- 29.47°, rel. 97
- 32.06°, rel. 35
- 33.03°, rel. 100
- 34.22°, rel. 54
- 42.67°, rel. 37
- 43.88°, rel. 35

Structure:
```
Pm2CoIrO8
1.0
4.1921 0.0000 0.0000
0.6002 5.2789 0.0000
0.4601 0.8253 6.8245
Pm Co Ir O
2 1 1 8
Cartesian
0.9028 0.2871 1.6132 Pm
4.3496 5.8171 5.2113 Pm
2.3961 2.6394 0.0000 Co
2.6262 3.0521 3.4122 Ir
1.5173 4.5419 3.7282 O
1.6231 1.9032 4.5373 O
2.1335 5.1065 6.4772 O
1.6128 2.6034 1.7421 O
3.6396 3.5009 5.0824 O
3.1189 0.9978 0.3473 O
3.6294 4.2011 2.2872 O
3.7352 1.5623 3.0963 O
```

***

(2)
Computed powder X-ray diffraction pattern
Compound: PmCo2IrO6
Radiation: Cu Ka
Structure: the PBE+U geometry in Alexandria
No peak broadening, texture or thermal motion is included.

Top 10 peaks for 2θ = 15–90°, by angle:
- 23.12°, rel. 81
- 31.87°, rel. 96
- 33.95°, rel. 100
- 37.21°, rel. 17
- 41.48°, rel. 21
- 47.25°, rel. 36
- 51.81°, rel. 42
- 54.64°, rel. 17
- 59.45°, rel. 34
- 60.75°, rel. 28

Structure:
```
PmCo2IrO6
1.0
2.6406 1.5246 4.7441
-2.6406 1.5246 4.7441
0.0000 -3.0491 4.7441
Pm Co Ir O
1 2 1 6
Cartesian
0.0000 0.0000 0.0000 Pm
0.0000 0.0000 3.7640 Co
0.0000 0.0000 11.2336 Co
0.0000 0.0000 6.6927 Ir
-1.5375 -0.3316 5.4500 O
-1.0096 -1.5622 7.6291 O
1.0559 -1.1657 5.4500 O
-0.8481 1.6554 7.6291 O
0.4815 1.4973 5.4500 O
1.8577 -0.0932 7.6291 O
```